1.
Calculated PXRD pattern
Compound: Ac2TiN3F
Radiation: Cu Kα (λ = 1.5418 Å)
Structure: a PBE-relaxed structure
Lines closer than 0.1° are merged.

Peak list (12 most intense, 2θ from 15° to 90°, by angle)
2θ (°)  intensity  (hkl)
22.88  33  0 1 1
23.10  36  1 0 1
26.67  28  0 0 4
29.76  96  0 1 3
29.93  89  1 0 3
31.30  100  1 1 0
41.58  53  1 1 4
44.61  24  0 2 0
45.10  23  2 0 0
52.04  32  1 1 6
54.65  35  1 2 3
54.97  38  2 1 3

Atomic structure:
Cell lengths 4.0205, 4.0627, 13.3700 Å; angles 90.00, 90.00, 90.00 degrees
Space group Immm (No. 71)
Unique sites:
Ac 0.0000 0.0000 0.1494 x4
Ti 0.0000 0.0000 0.5000 x2
N 0.0000 0.0000 0.3409 x4
N 0.0000 0.5000 0.5000 x2
F 0.0000 0.5000 0.0000 x2

2.
Calculated PXRD pattern
Compound: Na3Sn2Pb7
Radiation: Cu Kα (λ = 1.5418 Å)
Structure: a PBE-relaxed structure
Lines closer than 0.1° are merged.

Peak list (12 most intense, 2θ from 15° to 90°, by angle)
2θ (°)  intensity  (hkl)
15.61  42  1 0 0
31.24  51  1 0 -3
31.53  100  2 0 0
31.82  49  0 2 1
35.88  36  -2 2 1
36.48  34  1 2 -2
37.32  32  1 0 3
51.70  13  3 0 -3
52.76  36  3 -2 2
62.10  15  2 2 -5
62.58  14  3 2 -2
65.82  13  4 0 0

Atomic structure:
Cell lengths 6.0944, 6.9725, 9.1683 Å; angles 100.83, 97.99, 107.67 degrees
Space group P-1 (No. 2)
Unique sites:
Na 0.0000 0.0000 0.0000 x1
Na 0.0014 0.8313 0.3328 x2
Sn 0.0024 0.6604 0.6577 x2
Pb 0.0000 0.5000 0.0000 x1
Pb 0.4972 0.7414 0.5009 x2
Pb 0.4976 0.0809 0.8312 x2
Pb 0.4993 0.5859 0.8344 x2

3.
Calculated PXRD pattern
Compound: Sr2Li3AlGe4
Radiation: Cu Kα (λ = 1.5418 Å)
Structure: a PBE-relaxed structure
Lines closer than 0.1° are merged.

Peak list (12 most intense, 2θ from 15° to 90°, by angle)
2θ (°)  intensity  (hkl)
23.05  25  0 0 3
26.10  27  1 0 2
30.89  48  1 1 1
31.39  59  1 0 3
33.74  100  1 1 2
42.78  48  2 0 0
44.62  32  1 0 5
54.01  25  2 1 3
62.09  16  2 2 0
63.53  22  2 1 5
72.57  22  3 1 2
80.42  13  2 0 8

Atomic structure:
Cell lengths 4.2280, 4.2280, 11.5763 Å; angles 90.00, 90.00, 90.00 degrees
Space group P-4m2 (No. 115)
Unique sites:
Sr 0.0000 0.5000 0.2493 x2
Li 0.0000 0.5000 0.8620 x2
Li 0.5000 0.5000 0.5000 x1
Al 0.0000 0.0000 0.5000 x1
Ge 0.0000 0.0000 0.0000 x1
Ge 0.0000 0.5000 0.6355 x2
Ge 0.5000 0.5000 0.0000 x1

What is the formula in the third record?
Sr2Li3AlGe4